1.
Diffraction record for V5SiP4. The powder XRD pattern is theoretical, not measured: it uses a PBE-relaxed structure and Cu Kα (λ = 1.5418 Å).
Neutral-atom scattering factors, no anomalous dispersion.

Principal peaks in the range 2θ = 10–90°, in order of rising 2θ:
hkl 2 1 1, 2θ 32.39, d = 2.764 Å, I 18; hkl 1 3 0, 2θ 37.19, d = 2.417 Å, I 100; hkl 0 0 2, 2θ 38.32, d = 2.349 Å, I 24; hkl 3 0 1, 2θ 40.26, d = 2.240 Å, I 10; hkl 1 1 2, 2θ 41.94, d = 2.154 Å, I 29; hkl 2 0 2, 2θ 45.32, d = 2.001 Å, I 12; hkl 3 2 1, 2θ 47.02, d = 1.932 Å, I 26; hkl 2 2 2, 2θ 51.55, d = 1.773 Å, I 11; hkl 4 2 0, 2θ 53.62, d = 1.709 Å, I 26; hkl 1 3 2, 2θ 54.47, d = 1.685 Å, I 32; hkl 4 0 2, 2θ 62.67, d = 1.482 Å, I 9; hkl 4 2 2, 2θ 67.81, d = 1.382 Å, I 16

Structure:
a = 7.644 Å, b = 7.644 Å, c = 4.698 Å
α = 90.00°, β = 90.00°, γ = 90.00°
Space group I4 (No. 79)
Asymmetric unit:
V  0.000  0.000  0.000
V  0.086  0.335  0.696
Si  0.000  0.000  0.509
P  0.106  0.270  0.204

---

2.
Diffraction record for VSiP. The powder XRD pattern is theoretical, not measured: it uses a PBE-relaxed structure and Cu Kα (λ = 1.5418 Å).
Neutral-atom scattering factors, no anomalous dispersion.

Principal peaks in the range 2θ = 10–90°, in order of rising 2θ:
hkl 0 0 1, 2θ 14.50, d = 6.108 Å, I 30; hkl 1 1 1, 2θ 35.47, d = 2.531 Å, I 75; hkl 1 1 -2, 2θ 39.44, d = 2.285 Å, I 92; hkl 0 0 3, 2θ 44.50, d = 2.036 Å, I 53; hkl 3 1 0, 2θ 44.93, d = 2.017 Å, I 100; hkl 4 0 -2, 2θ 45.34, d = 2.000 Å, I 49; hkl 4 0 1, 2θ 54.23, d = 1.692 Å, I 19; hkl 3 1 -3, 2θ 54.44, d = 1.685 Å, I 42; hkl 0 2 0, 2θ 57.70, d = 1.598 Å, I 28; hkl 3 1 3, 2θ 74.88, d = 1.268 Å, I 20; hkl 0 2 3, 2θ 75.66, d = 1.257 Å, I 30; hkl 4 2 -2, 2θ 76.28, d = 1.248 Å, I 20

Structure:
a = 8.356 Å, b = 3.195 Å, c = 6.540 Å
α = 90.00°, β = 110.94°, γ = 90.00°
Space group C2/m (No. 12)
Asymmetric unit:
V  0.178  0.000  0.158
Si  0.152  0.000  0.541
P  0.042  0.500  0.845

---

3.
Diffraction record for V4SiP. The powder XRD pattern is theoretical, not measured: it uses a PBE-relaxed structure and Cu Kα (λ = 1.5418 Å).
Neutral-atom scattering factors, no anomalous dispersion.

Principal peaks in the range 2θ = 10–90°, in order of rising 2θ:
hkl 2 0 0, 2θ 23.82, d = 3.735 Å, I 30; hkl 2 2 0, 2θ 33.94, d = 2.641 Å, I 17; hkl 2 0 2, 2θ 35.12, d = 2.556 Å, I 100; hkl 3 1 0, 2θ 38.10, d = 2.362 Å, I 32; hkl 3 1 2, 2θ 46.36, d = 1.959 Å, I 32; hkl 4 0 0, 2θ 48.76, d = 1.867 Å, I 20; hkl 0 0 4, 2θ 52.20, d = 1.752 Å, I 15; hkl 3 3 2, 2θ 58.68, d = 1.573 Å, I 31; hkl 4 2 2, 2θ 61.50, d = 1.508 Å, I 12; hkl 3 1 4, 2θ 66.43, d = 1.407 Å, I 10; hkl 5 3 0, 2θ 74.00, d = 1.281 Å, I 10; hkl 4 0 4, 2θ 74.22, d = 1.278 Å, I 10

Structure:
a = 7.470 Å, b = 7.470 Å, c = 7.009 Å
α = 90.00°, β = 90.00°, γ = 90.00°
Space group I4_1md (No. 109)
Asymmetric unit:
V  0.000  0.195  0.000
V  0.000  0.201  0.486
Si  0.000  0.000  0.739
P  0.000  0.000  0.247

---

4.
Diffraction record for YSiP. The powder XRD pattern is theoretical, not measured: it uses a PBE-relaxed structure and Cu Kα (λ = 1.5418 Å).
Neutral-atom scattering factors, no anomalous dispersion.

Principal peaks in the range 2θ = 10–90°, in order of rising 2θ:
hkl 1 0 0, 2θ 24.76, d = 3.596 Å, I 29; hkl 1 0 1, 2θ 34.09, d = 2.630 Å, I 100; hkl 1 1 0, 2θ 43.59, d = 2.076 Å, I 38; hkl 0 0 2, 2θ 47.15, d = 1.928 Å, I 10; hkl 2 0 0, 2θ 50.77, d = 1.798 Å, I 4; hkl 1 0 2, 2θ 53.97, d = 1.699 Å, I 7; hkl 2 0 1, 2θ 56.47, d = 1.630 Å, I 22; hkl 1 1 2, 2θ 66.14, d = 1.413 Å, I 21; hkl 2 1 1, 2θ 73.93, d = 1.282 Å, I 20; hkl 1 0 3, 2θ 79.14, d = 1.210 Å, I 8; hkl 3 0 0, 2θ 80.04, d = 1.199 Å, I 6; hkl 2 1 2, 2θ 87.89, d = 1.111 Å, I 3

Structure:
a = 4.1528 Å, b = 4.1528 Å, c = 3.8555 Å
α = 90.00°, β = 90.00°, γ = 120.00°
Space group P-6m2 (No. 187)
Asymmetric unit:
Y  0.0000  0.0000  0.0000
Si  0.6667  0.3333  0.5000
P  0.3333  0.6667  0.5000

---

5.
Diffraction record for Sm3P2. The powder XRD pattern is theoretical, not measured: it uses a PBE-relaxed structure and Cu Kα (λ = 1.5418 Å).
Neutral-atom scattering factors, no anomalous dispersion.

Principal peaks in the range 2θ = 10–90°, in order of rising 2θ:
hkl 1 1 0, 2θ 25.56, d = 3.485 Å, I 12; hkl 0 0 6, 2θ 26.83, d = 3.323 Å, I 20; hkl 1 1 3, 2θ 28.93, d = 3.086 Å, I 100; hkl 1 1 6, 2θ 37.39, d = 2.405 Å, I 27; hkl 3 0 0, 2θ 45.06, d = 2.012 Å, I 25; hkl 1 1 9, 2θ 48.71, d = 1.870 Å, I 24; hkl 3 0 6, 2θ 53.22, d = 1.721 Å, I 18; hkl 2 2 3, 2θ 54.44, d = 1.685 Å, I 17; hkl 2 2 9, 2θ 68.51, d = 1.370 Å, I 8; hkl 4 1 3, 2θ 73.27, d = 1.292 Å, I 14; hkl 3 0 12, 2θ 73.99, d = 1.281 Å, I 12; hkl 4 1 9, 2θ 85.83, d = 1.132 Å, I 9

Structure:
a = 6.9696 Å, b = 6.9696 Å, c = 19.9383 Å
α = 90.00°, β = 90.00°, γ = 120.00°
Space group R-3c (No. 167, hexagonal axes)
Asymmetric unit:
Sm  0.0000  0.3263  0.2500
P  0.0000  0.0000  0.1620

---

6.
Diffraction record for SmP5. The powder XRD pattern is theoretical, not measured: it uses a PBE-relaxed structure and Cu Kα (λ = 1.5418 Å).
Neutral-atom scattering factors, no anomalous dispersion.

Principal peaks in the range 2θ = 10–90°, in order of rising 2θ:
hkl 0 2 0, 2θ 18.61, d = 4.768 Å, I 31; hkl 0 1 1, 2θ 19.14, d = 4.637 Å, I 48; hkl 1 1 -1, 2θ 23.88, d = 3.726 Å, I 64; hkl 1 2 0, 2θ 26.08, d = 3.417 Å, I 100; hkl 1 0 1, 2θ 27.24, d = 3.274 Å, I 36; hkl 1 1 1, 2θ 28.83, d = 3.097 Å, I 51; hkl 1 2 -1, 2θ 28.93, d = 3.086 Å, I 45; hkl 0 3 1, 2θ 32.84, d = 2.727 Å, I 34; hkl 0 1 2, 2θ 35.11, d = 2.556 Å, I 46; hkl 2 2 0, 2θ 41.47, d = 2.177 Å, I 43; hkl 1 3 -2, 2θ 45.38, d = 1.998 Å, I 29; hkl 2 3 -1, 2θ 47.12, d = 1.929 Å, I 24

Structure:
a = 5.012 Å, b = 9.536 Å, c = 5.427 Å
α = 90.00°, β = 102.11°, γ = 90.00°
Space group P2_1/m (No. 11)
Asymmetric unit:
Sm  0.007  0.250  0.348
P  0.284  0.250  0.897
P  0.290  0.529  0.404
P  0.384  0.591  0.046